Entry 1:
Structure and theoretical powder diffractogram of Cu2Rh2O7 (a PBE-relaxed structure; Cu Kα, 1.54184 Å).
Lines closer than 0.1° are merged.

Atomic structure:
```
data_Cu2Rh2O7
_cell_length_a 5.792
_cell_length_b 9.068
_cell_length_c 5.289
_cell_angle_alpha 90.00
_cell_angle_beta 97.78
_cell_angle_gamma 90.00
_symmetry_space_group_name_H-M 'C 1 2/m 1'
_symmetry_Int_Tables_number 12
loop_
_symmetry_equiv_pos_as_xyz
'x,y,z'
'-x,-y,-z'
'-x,y,-z'
'x,-y,z'
'x+1/2,y+1/2,z'
'-x+1/2,-y+1/2,-z'
'-x+1/2,y+1/2,-z'
'x+1/2,-y+1/2,z'
loop_
_atom_site_label
_atom_site_type_symbol
_atom_site_fract_x
_atom_site_fract_y
_atom_site_fract_z
Cu1 Cu 0.234 0.000 0.112
Rh1 Rh 0.000 0.181 0.500
O1 O 0.000 0.500 0.000
O2 O 0.070 0.000 0.741
O3 O 0.229 0.311 0.698
```

Most intense lines, 2θ = 15–90°, most intense first:
2θ 26.0, d 3.429, intensity 100, (0 2 1)
2θ 33.5, d 2.674, intensity 50, (2 0 -1)
2θ 26.4, d 3.372, intensity 48, (1 1 1)
2θ 18.3, d 4.849, intensity 40, (1 1 0)
2θ 50.3, d 1.815, intensity 40, (1 3 2)
2θ 37.1, d 2.424, intensity 33, (2 2 0)
2θ 16.9, d 5.240, intensity 24, (0 0 1)
2θ 36.8, d 2.445, intensity 24, (1 3 -1)
2θ 43.5, d 2.080, intensity 19, (2 0 -2)
2θ 49.5, d 1.842, intensity 16, (3 1 -1)

=====

Entry 2:
Structure and theoretical powder diffractogram of Cu3Rh4O12 (a PBE-relaxed structure; Cu Kα, 1.54184 Å).
Lines closer than 0.1° are merged.

Atomic structure:
```
data_Cu3Rh4O12
_cell_length_a 7.426
_cell_length_b 7.426
_cell_length_c 7.426
_cell_angle_alpha 90.00
_cell_angle_beta 90.00
_cell_angle_gamma 90.00
_symmetry_space_group_name_H-M 'I m -3'
_symmetry_Int_Tables_number 204
_symmetry_space_group_name_Hall '-I 2 2 3'
loop_
_atom_site_label
_atom_site_type_symbol
_atom_site_fract_x
_atom_site_fract_y
_atom_site_fract_z
Cu1 Cu 0.000 0.000 0.500
Rh1 Rh 0.250 0.250 0.250
O1 O 0.000 0.319 0.175
```

Most intense lines, 2θ = 15–90°, most intense first:
2θ 34.1, d 2.626, intensity 100, (2 2 0)
2θ 61.1, d 1.516, intensity 48, (4 2 2)
2θ 49.1, d 1.857, intensity 23, (4 0 0)
2θ 24.0, d 3.713, intensity 21, (2 0 0)
2θ 82.1, d 1.174, intensity 17, (6 2 0)
2θ 71.9, d 1.313, intensity 12, (4 4 0)
2θ 16.9, d 5.251, intensity 11, (1 1 0)
2θ 55.3, d 1.661, intensity 10, (4 2 0)
2θ 29.5, d 3.032, intensity 7, (2 1 1)
2θ 38.3, d 2.348, intensity 4, (3 1 0)

=====

Entry 3:
Structure and theoretical powder diffractogram of Cu2RuRhO6 (a PBE-relaxed structure; Cu Kα, 1.54184 Å).
Lines closer than 0.1° are merged.

Atomic structure:
```
data_Cu2RuRhO6
_cell_length_a 5.1685
_cell_length_b 5.1685
_cell_length_c 13.7176
_cell_angle_alpha 90.00
_cell_angle_beta 90.00
_cell_angle_gamma 120.00
_symmetry_space_group_name_H-M 'R 3'
_symmetry_Int_Tables_number 146
_symmetry_space_group_name_Hall 'R 3'
loop_
_atom_site_label
_atom_site_type_symbol
_atom_site_fract_x
_atom_site_fract_y
_atom_site_fract_z
Cu1 Cu 0.0000 0.0000 0.0000
Cu2 Cu 0.0000 0.0000 0.4483
Ru1 Ru 0.0000 0.0000 0.2061
Rh1 Rh 0.0000 0.0000 0.6964
O1 O 0.0025 0.6436 0.9463
O2 O 0.0408 0.3546 0.7784
```

Most intense lines, 2θ = 15–90°, most intense first:
2θ 32.9, d 2.722, intensity 100, (1 0 4)
2θ 34.7, d 2.584, intensity 88, (1 1 0)
2θ 48.6, d 1.874, intensity 39, (0 2 4)
2θ 61.1, d 1.517, intensity 35, (2 1 4)
2θ 62.2, d 1.492, intensity 30, (3 0 0)
2θ 23.7, d 3.748, intensity 28, (0 1 2)
2θ 53.5, d 1.712, intensity 24, (2 -1 6)
2θ 71.9, d 1.312, intensity 14, (1 0 10)
2θ 40.1, d 2.250, intensity 14, (2 -1 3)
2θ 82.7, d 1.167, intensity 12, (4 -3 4)